[1]
Structure and calculated powder diffraction line list of Tb2Pd3Pt (a structure optimized by DFT (GGA-PBE); λ = 1.5418 Å (Cu Kα)).

Peak list (10 most intense, 10° ≤ 2θ ≤ 90°, by intensity)
Position (°2θ)	I (rel.)	(hkl)
38.07	100	0 4 4
38.81	41	4 2 2
34.79	27	3 3 1
29.44	27	1 1 5
40.32	27	4 0 4
25.18	23	2 2 2
19.78	16	1 1 3
40.05	15	1 1 7
50.30	14	4 2 6
51.70	14	4 4 4

Structure:
Lattice parameters (Å, degrees): 10.653 11.557 16.453 90.00 90.00 90.00
Space group Fddd (No. 70, origin choice 2)
Asymmetric unit:
Tb (0.028, 0.264, 0.472) (multiplicity 32)
Pd (0.000, 0.000, 0.000) (multiplicity 16)
Pd (0.125, 0.125, 0.358) (multiplicity 16)
Pd (0.125, 0.341, 0.625) (multiplicity 16)
Pt (0.011, 0.375, 0.875) (multiplicity 16)

***

[2]
Structure and calculated powder diffraction line list of Np2PtSe2N2 (a structure optimized by DFT (GGA-PBE); λ = 1.5418 Å (Cu Kα)).

Peak list (10 most intense, 10° ≤ 2θ ≤ 90°, by intensity)
Position (°2θ)	I (rel.)	(hkl)
36.01	100	0 1 3
28.75	62	1 0 1
31.64	58	1 0 2
49.03	41	1 1 0
41.44	32	0 1 4
62.32	20	2 0 3
69.47	19	1 1 6
83.09	19	1 2 3
63.65	18	1 1 5
14.96	17	0 0 2

Structure:
Lattice parameters (Å, degrees): 3.7158 3.7158 11.8448 90.00 90.00 120.00
Space group P-3m1 (No. 164)
Asymmetric unit:
Np (0.3333, 0.6667, 0.3116) (multiplicity 2)
Pt (0.0000, 0.0000, 0.5000) (multiplicity 1)
Se (0.0000, 0.0000, 0.1604) (multiplicity 2)
N (0.3333, 0.6667, 0.6319) (multiplicity 2)

***

[3]
Structure and calculated powder diffraction line list of Sr5NdSe6 (a structure optimized by DFT (GGA-PBE); λ = 1.5418 Å (Cu Kα)).

Peak list (10 most intense, 10° ≤ 2θ ≤ 90°, by intensity)
Position (°2θ)	I (rel.)	(hkl)
28.68	100	1 3 1
41.00	75	2 0 2
67.25	34	3 3 3
50.80	26	0 0 4
74.69	25	1 3 5
59.38	12	2 6 2
88.92	8	4 0 4
24.77	2	2 0 0
14.03	1	1 1 0
48.49	1	4 0 -2

Structure:
Lattice parameters (Å, degrees): 7.625 13.205 7.627 90.00 109.47 90.00
Space group C2/m (No. 12)
Asymmetric unit:
Sr (0.000, 0.000, 0.000) (multiplicity 2)
Sr (0.000, 0.166, 0.500) (multiplicity 4)
Sr (0.000, 0.332, 0.000) (multiplicity 4)
Nd (0.000, 0.500, 0.500) (multiplicity 2)
Se (0.243, 0.500, 0.255) (multiplicity 4)
Se (0.244, 0.338, 0.745) (multiplicity 8)

***

[4]
Structure and calculated powder diffraction line list of Pm5PrCd3 (a structure optimized by DFT (GGA-PBE); λ = 1.5418 Å (Cu Kα)).

Peak list (10 most intense, 10° ≤ 2θ ≤ 90°, by intensity)
Position (°2θ)	I (rel.)	(hkl)
31.54	100	1 1 2
32.85	97	3 0 0
57.83	35	4 1 2
46.19	35	2 2 2
62.47	30	3 0 4
58.65	18	3 3 0
77.73	15	5 2 2
81.81	14	3 3 4
68.88	11	6 0 0
51.52	9	0 0 4

Structure:
Lattice parameters (Å, degrees): 9.4443 9.4443 7.0948 90.00 90.00 120.00
Space group P6_3/mcm (No. 193)
Asymmetric unit:
Pm (0.0000, 0.3323, 0.2500) (multiplicity 6)
Pm (0.3333, 0.6667, 0.0000) (multiplicity 4)
Pr (0.0000, 0.0000, 0.0000) (multiplicity 2)
Cd (0.0000, 0.3363, 0.7500) (multiplicity 6)

***

[5]
Structure and calculated powder diffraction line list of NdMg3Zn8 (a structure optimized by DFT (GGA-PBE); λ = 1.5418 Å (Cu Kα)).

Peak list (10 most intense, 10° ≤ 2θ ≤ 90°, by intensity)
Position (°2θ)	I (rel.)	(hkl)
39.65	100	2 0 2
41.53	50	0 2 4
39.43	35	1 0 10
20.42	22	0 1 2
70.83	17	2 2 0
70.32	17	0 2 16
41.16	16	0 0 12
64.12	15	2 1 10
64.25	15	3 0 6
19.56	14	1 0 1

Structure:
Lattice parameters (Å, degrees): 5.3211 5.3211 26.3166 90.00 90.00 120.00
Space group R3m (No. 160, hexagonal axes)
Asymmetric unit:
Nd (0.0000, 0.0000, 0.0000) (multiplicity 3)
Mg (0.0000, 0.0000, 0.1264) (multiplicity 3)
Mg (0.0000, 0.0000, 0.4980) (multiplicity 3)
Mg (0.0000, 0.0000, 0.6188) (multiplicity 3)
Zn (0.0000, 0.0000, 0.3112) (multiplicity 3)
Zn (0.0000, 0.0000, 0.8127) (multiplicity 3)
Zn (0.0040, 0.5020, 0.0656) (multiplicity 9)
Zn (0.1678, 0.3357, 0.8923) (multiplicity 9)

***

[6]
Structure and calculated powder diffraction line list of Ca5Au2 (a structure optimized by DFT (GGA-PBE); λ = 1.5418 Å (Cu Kα)).

Peak list (10 most intense, 10° ≤ 2θ ≤ 90°, by intensity)
Position (°2θ)	I (rel.)	(hkl)
18.52	100	1 1 1
22.51	57	3 1 -1
21.33	32	4 0 0
33.33	28	5 1 1
33.83	26	4 2 0
36.93	25	1 1 -3
35.65	23	2 2 -2
24.02	23	2 0 -2
34.88	21	4 2 -1
30.99	20	2 2 1

Structure:
Lattice parameters (Å, degrees): 16.812 6.867 7.811 90.00 97.70 90.00
Space group C2/c (No. 15)
Asymmetric unit:
Ca (0.000, 0.080, 0.250) (multiplicity 4)
Ca (0.091, 0.391, 0.921) (multiplicity 8)
Ca (0.219, 0.080, 0.316) (multiplicity 8)
Au (0.110, 0.207, 0.581) (multiplicity 8)

***

> Number 2 is which compound?

Np2PtSe2N2

***

> Which formula does entry 4 have?

Pm5PrCd3